1.
Computed XRD peak list
Compound: Rb2AgAuBr6
Radiation: λ = 1.5418 Å (Cu Kα)
Structure: a PBE-relaxed structure
Kinematic intensities with the Lorentz-polarization factor, no thermal factor.

Largest 6 diffraction maxima, by angle, 15 to 90 degrees two-theta:
| d (Å) | two_theta | I_rel |
| --- | --- | --- |
| 5.597 | 15.8 | 67 |
| 3.914 | 22.7 | 35 |
| 3.870 | 23.0 | 45 |
| 2.799 | 32.0 | 100 |
| 2.706 | 33.1 | 56 |
| 1.957 | 46.4 | 34 |

Structure:
Cell lengths 7.754, 8.090, 13.210 Å; angles 90.00, 124.98, 90.00 degrees
Fractional coordinates of all 20 atoms:
Rb: 0.242 0.041 0.252
Rb: 0.242 0.459 0.752
Rb: 0.758 0.541 0.248
Rb: 0.758 0.959 0.748
Ag: 0.000 0.000 0.500
Ag: 0.000 0.500 0.000
Au: 0.500 0.000 0.000
Au: 0.500 0.500 0.500
Br: 0.223 0.193 0.977
Br: 0.223 0.307 0.477
Br: 0.235 0.688 0.979
Br: 0.235 0.812 0.479
Br: 0.307 0.515 0.267
Br: 0.307 0.985 0.767
Br: 0.693 0.015 0.233
Br: 0.693 0.485 0.733
Br: 0.765 0.188 0.521
Br: 0.765 0.312 0.021
Br: 0.777 0.693 0.523
Br: 0.777 0.807 0.023

2.
Computed XRD peak list
Compound: AgAuC2N2
Radiation: λ = 1.5418 Å (Cu Kα)
Structure: a PBE-relaxed structure
Kinematic intensities with the Lorentz-polarization factor, no thermal factor.

Largest 6 diffraction maxima, by angle, 15 to 90 degrees two-theta:
| d (Å) | two_theta | I_rel |
| --- | --- | --- |
| 5.189 | 17.1 | 72 |
| 2.922 | 30.6 | 100 |
| 2.546 | 35.2 | 79 |
| 1.940 | 46.8 | 48 |
| 1.605 | 57.4 | 20 |
| 1.489 | 62.4 | 21 |

Structure:
Cell lengths 3.375, 5.844, 10.379 Å; angles 90.00, 90.00, 90.00 degrees
Fractional coordinates of all 12 atoms:
Ag: 0.000 0.000 0.000
Ag: 0.500 0.500 0.500
Au: 0.000 0.000 0.500
Au: 0.500 0.500 0.000
C: 0.000 0.000 0.309
C: 0.000 0.000 0.691
C: 0.500 0.500 0.191
C: 0.500 0.500 0.809
N: 0.000 0.000 0.197
N: 0.000 0.000 0.803
N: 0.500 0.500 0.303
N: 0.500 0.500 0.697

3.
Computed XRD peak list
Compound: Dy3Cd3AgAu2
Radiation: λ = 1.5418 Å (Cu Kα)
Structure: a PBE-relaxed structure
Kinematic intensities with the Lorentz-polarization factor, no thermal factor.

Largest 6 diffraction maxima, by angle, 15 to 90 degrees two-theta:
| d (Å) | two_theta | I_rel |
| --- | --- | --- |
| 2.746 | 32.6 | 100 |
| 2.574 | 34.9 | 43 |
| 2.547 | 35.2 | 92 |
| 2.270 | 39.7 | 51 |
| 2.138 | 42.3 | 29 |
| 1.447 | 64.4 | 33 |

Structure:
Cell lengths 3.838, 7.866, 7.866 Å; angles 120.08, 90.00, 90.00 degrees
Fractional coordinates of all 9 atoms:
Dy: 0.000 0.000 0.000
Dy: 0.000 0.408 0.816
Dy: 0.000 0.816 0.408
Cd: 0.500 0.146 0.408
Cd: 0.500 0.408 0.146
Cd: 0.500 0.670 0.670
Ag: 0.000 0.408 0.408
Au: 0.500 0.075 0.740
Au: 0.500 0.740 0.075

4.
Computed XRD peak list
Compound: Dy2Cd2AgAu3
Radiation: λ = 1.5418 Å (Cu Kα)
Structure: a PBE-relaxed structure
Kinematic intensities with the Lorentz-polarization factor, no thermal factor.

Largest 6 diffraction maxima, by angle, 15 to 90 degrees two-theta:
| d (Å) | two_theta | I_rel |
| --- | --- | --- |
| 2.464 | 36.5 | 100 |
| 1.743 | 52.5 | 12 |
| 1.739 | 52.6 | 6 |
| 1.423 | 65.6 | 33 |
| 1.232 | 77.5 | 7 |
| 1.102 | 88.7 | 11 |

Structure:
Cell lengths 4.931, 4.931, 6.958 Å; angles 90.00, 90.03, 90.00 degrees
Fractional coordinates of all 8 atoms:
Dy: 0.000 0.000 0.000
Dy: 0.493 0.500 0.487
Cd: 0.494 0.500 0.990
Cd: 0.999 0.000 0.497
Ag: 0.991 0.500 0.744
Au: 0.500 0.000 0.744
Au: 0.501 0.000 0.244
Au: 0.992 0.500 0.244

5.
Computed XRD peak list
Compound: Pr2DyCd3AgAu2
Radiation: λ = 1.5418 Å (Cu Kα)
Structure: a PBE-relaxed structure
Kinematic intensities with the Lorentz-polarization factor, no thermal factor.

Largest 6 diffraction maxima, by angle, 15 to 90 degrees two-theta:
| d (Å) | two_theta | I_rel |
| --- | --- | --- |
| 2.806 | 31.9 | 100 |
| 2.613 | 34.3 | 45 |
| 2.600 | 34.5 | 95 |
| 2.305 | 39.1 | 51 |
| 2.179 | 41.4 | 33 |
| 1.499 | 61.9 | 26 |

Structure:
Cell lengths 3.946, 7.979, 7.979 Å; angles 119.88, 90.00, 90.00 degrees
Fractional coordinates of all 9 atoms:
Pr: 0.000 0.204 0.796
Pr: 0.000 0.796 0.204
Dy: 0.000 0.387 0.387
Cd: 0.500 0.057 0.057
Cd: 0.500 0.536 0.792
Cd: 0.500 0.792 0.536
Ag: 0.000 0.793 0.793
Au: 0.500 0.137 0.461
Au: 0.500 0.461 0.137

6.
Computed XRD peak list
Compound: Ho2ErCd3AgAu2
Radiation: λ = 1.5418 Å (Cu Kα)
Structure: a PBE-relaxed structure
Kinematic intensities with the Lorentz-polarization factor, no thermal factor.

Largest 6 diffraction maxima, by angle, 15 to 90 degrees two-theta:
| d (Å) | two_theta | I_rel |
| --- | --- | --- |
| 2.737 | 32.7 | 100 |
| 2.567 | 35.0 | 43 |
| 2.538 | 35.4 | 92 |
| 2.264 | 39.8 | 51 |
| 2.131 | 42.4 | 28 |
| 1.443 | 64.6 | 33 |

Structure:
Cell lengths 3.821, 7.842, 7.842 Å; angles 119.98, 90.00, 90.00 degrees
Fractional coordinates of all 9 atoms:
Ho: 0.000 0.204 0.796
Ho: 0.000 0.796 0.204
Er: 0.000 0.613 0.613
Cd: 0.500 0.204 0.467
Cd: 0.500 0.467 0.204
Cd: 0.500 0.941 0.941
Ag: 0.000 0.204 0.204
Au: 0.500 0.538 0.871
Au: 0.500 0.871 0.538

7.
Computed XRD peak list
Compound: YEr2Cd3AgAu2
Radiation: λ = 1.5418 Å (Cu Kα)
Structure: a PBE-relaxed structure
Kinematic intensities with the Lorentz-polarization factor, no thermal factor.

Largest 6 diffraction maxima, by angle, 15 to 90 degrees two-theta:
| d (Å) | two_theta | I_rel |
| --- | --- | --- |
| 2.738 | 32.7 | 100 |
| 2.569 | 34.9 | 32 |
| 2.539 | 35.3 | 96 |
| 2.261 | 39.9 | 39 |
| 2.133 | 42.4 | 25 |
| 1.461 | 63.7 | 28 |

Structure:
Cell lengths 3.826, 7.849, 7.849 Å; angles 120.22, 90.00, 90.00 degrees
Fractional coordinates of all 9 atoms:
Y: 0.000 0.000 0.000
Er: 0.000 0.408 0.816
Er: 0.000 0.816 0.408
Cd: 0.500 0.145 0.408
Cd: 0.500 0.408 0.145
Cd: 0.500 0.669 0.669
Ag: 0.000 0.409 0.409
Au: 0.500 0.075 0.739
Au: 0.500 0.739 0.075

8.
Computed XRD peak list
Compound: Gd2Cd2AgAu3
Radiation: λ = 1.5418 Å (Cu Kα)
Structure: a PBE-relaxed structure
Kinematic intensities with the Lorentz-polarization factor, no thermal factor.

Largest 6 diffraction maxima, by angle, 15 to 90 degrees two-theta:
| d (Å) | two_theta | I_rel |
| --- | --- | --- |
| 2.485 | 36.1 | 50 |
| 2.476 | 36.3 | 100 |
| 1.757 | 52.0 | 18 |
| 1.434 | 65.1 | 17 |
| 1.432 | 65.1 | 18 |
| 1.427 | 65.4 | 13 |

Structure:
Cell lengths 4.974, 4.965, 6.976 Å; angles 90.00, 90.11, 90.00 degrees
Fractional coordinates of all 8 atoms:
Gd: 0.000 0.000 0.000
Gd: 0.476 0.500 0.486
Cd: 0.481 0.500 0.988
Cd: 0.997 0.000 0.498
Ag: 0.502 0.000 0.744
Au: 0.501 0.000 0.242
Au: 0.976 0.500 0.244
Au: 0.977 0.500 0.743

9.
Computed XRD peak list
Compound: Gd3Cd3AgAu2
Radiation: λ = 1.5418 Å (Cu Kα)
Structure: a PBE-relaxed structure
Kinematic intensities with the Lorentz-polarization factor, no thermal factor.

Largest 6 diffraction maxima, by angle, 15 to 90 degrees two-theta:
| d (Å) | two_theta | I_rel |
| --- | --- | --- |
| 2.773 | 32.3 | 100 |
| 2.581 | 34.8 | 43 |
| 2.569 | 34.9 | 93 |
| 2.276 | 39.6 | 51 |
| 2.152 | 42.0 | 30 |
| 1.454 | 64.1 | 33 |

Structure:
Cell lengths 7.885, 7.885, 3.900 Å; angles 90.00, 90.00, 120.00 degrees
Fractional coordinates of all 9 atoms:
Gd: 0.000 0.408 0.000
Gd: 0.408 0.000 0.000
Gd: 0.592 0.592 0.000
Cd: 0.000 0.739 0.500
Cd: 0.261 0.261 0.500
Cd: 0.739 0.000 0.500
Ag: 0.000 0.000 0.000
Au: 0.333 0.667 0.500
Au: 0.667 0.333 0.500

10.
Computed XRD peak list
Compound: LaGd2Cd3AgAu2
Radiation: λ = 1.5418 Å (Cu Kα)
Structure: a PBE-relaxed structure
Kinematic intensities with the Lorentz-polarization factor, no thermal factor.

Largest 6 diffraction maxima, by angle, 15 to 90 degrees two-theta:
| d (Å) | two_theta | I_rel |
| --- | --- | --- |
| 2.797 | 32.0 | 100 |
| 2.614 | 34.3 | 31 |
| 2.592 | 34.6 | 94 |
| 2.300 | 39.2 | 35 |
| 1.962 | 46.3 | 24 |
| 1.493 | 62.2 | 27 |

Structure:
Cell lengths 3.924, 7.985, 7.985 Å; angles 120.21, 90.00, 90.00 degrees
Fractional coordinates of all 9 atoms:
La: 0.000 0.000 0.000
Gd: 0.000 0.184 0.592
Gd: 0.000 0.592 0.184
Cd: 0.500 0.337 0.337
Cd: 0.500 0.589 0.852
Cd: 0.500 0.852 0.589
Ag: 0.000 0.590 0.590
Au: 0.500 0.265 0.925
Au: 0.500 0.925 0.265

11.
Computed XRD peak list
Compound: Nd2GdCd3AgAu2
Radiation: λ = 1.5418 Å (Cu Kα)
Structure: a PBE-relaxed structure
Kinematic intensities with the Lorentz-polarization factor, no thermal factor.

Largest 6 diffraction maxima, by angle, 15 to 90 degrees two-theta:
| d (Å) | two_theta | I_rel |
| --- | --- | --- |
| 2.802 | 31.9 | 100 |
| 2.609 | 34.4 | 46 |
| 2.596 | 34.6 | 96 |
| 2.301 | 39.2 | 51 |
| 2.175 | 41.5 | 33 |
| 1.496 | 62.0 | 26 |

Structure:
Cell lengths 3.940, 7.964, 7.964 Å; angles 119.85, 90.00, 90.00 degrees
Fractional coordinates of all 9 atoms:
Nd: 0.000 0.204 0.796
Nd: 0.000 0.796 0.204
Gd: 0.000 0.387 0.387
Cd: 0.500 0.055 0.055
Cd: 0.500 0.537 0.794
Cd: 0.500 0.794 0.537
Ag: 0.000 0.794 0.794
Au: 0.500 0.133 0.461
Au: 0.500 0.461 0.133

12.
Computed XRD peak list
Compound: PrGd2Cd3AgAu2
Radiation: λ = 1.5418 Å (Cu Kα)
Structure: a PBE-relaxed structure
Kinematic intensities with the Lorentz-polarization factor, no thermal factor.

Largest 6 diffraction maxima, by angle, 15 to 90 degrees two-theta:
| d (Å) | two_theta | I_rel |
| --- | --- | --- |
| 2.790 | 32.1 | 100 |
| 2.606 | 34.4 | 31 |
| 2.592 | 34.6 | 42 |
| 2.584 | 34.7 | 65 |
| 2.291 | 39.3 | 34 |
| 1.959 | 46.4 | 24 |

Structure:
Cell lengths 3.917, 7.961, 7.961 Å; angles 120.29, 90.00, 90.00 degrees
Fractional coordinates of all 9 atoms:
Pr: 0.000 0.000 0.000
Gd: 0.000 0.185 0.593
Gd: 0.000 0.593 0.185
Cd: 0.500 0.335 0.335
Cd: 0.500 0.590 0.853
Cd: 0.500 0.853 0.590
Ag: 0.000 0.591 0.591
Au: 0.500 0.264 0.925
Au: 0.500 0.925 0.264